Computed powder diffraction line list of In4Fe for λ = 1.5418 Å (Cu Kα), from a GGA-PBE-relaxed structure.
Peak positions follow from Bragg's law for the DFT cell and can differ from measured ones.

Structural model:
```
In4Fe
1.0
5.048 0.000 0.000
0.000 5.048 0.000
0.000 0.000 5.048
In Fe
4 1
Direct
0.000 0.000 0.000
0.000 0.500 0.500
0.500 0.000 0.500
0.500 0.500 0.000
0.500 0.500 0.500
```

Largest 12 diffraction maxima, most intense first, 15° ≤ 2θ ≤ 90°:
2θ (°)	Rel. int.
30.7	1000
35.6	839
51.2	574
60.9	409
86.1	251
63.9	191
83.5	168
75.3	88
17.6	65
24.9	55
39.9	30
43.9	23


Computed powder diffraction line list of Li3CuB3O7 for λ = 1.5418 Å (Cu Kα), from a GGA-PBE-relaxed structure.
Peak positions follow from Bragg's law for the DFT cell and can differ from measured ones.

Structural model:
```
Li3CuB3O7
1.0
3.400 0.000 0.000
0.345 8.919 0.000
0.110 1.012 9.488
Li Cu B O
6 2 6 14
Direct
0.006 0.093 0.137
0.006 0.748 0.460
0.481 0.973 0.365
0.519 0.027 0.635
0.994 0.252 0.540
0.994 0.907 0.863
0.410 0.339 0.036
0.590 0.661 0.964
0.073 0.207 0.802
0.229 0.485 0.751
0.432 0.747 0.664
0.568 0.253 0.336
0.771 0.515 0.249
0.927 0.793 0.198
0.003 0.909 0.273
0.094 0.350 0.714
0.130 0.192 0.945
0.245 0.608 0.649
0.348 0.497 0.883
0.490 0.202 0.207
0.500 0.167 0.459
0.500 0.833 0.541
0.510 0.798 0.793
0.652 0.503 0.117
0.755 0.392 0.351
0.870 0.808 0.055
0.906 0.650 0.286
0.997 0.091 0.727
```

Largest 12 diffraction maxima, most intense first, 15° ≤ 2θ ≤ 90°:
2θ (°)	Rel. int.
29.8	1000
29.0	332
28.0	186
28.5	170
20.0	165
44.1	160
32.3	151
45.2	139
42.6	116
43.1	114
40.0	108
32.6	99


Computed powder diffraction line list of Li3Si for λ = 1.5418 Å (Cu Kα), from a GGA-PBE-relaxed structure.
Peak positions follow from Bragg's law for the DFT cell and can differ from measured ones.

Structural model:
```
Li3Si
1.0
2.825 0.000 0.000
-1.412 2.447 0.000
0.000 0.000 9.421
Li Si
3 1
Direct
0.000 0.000 0.000
0.333 0.667 0.276
0.333 0.667 0.724
0.000 0.000 0.500
```

Largest 12 diffraction maxima, most intense first, 15° ≤ 2θ ≤ 90°:
2θ (°)	Rel. int.
41.6	1000
18.8	565
38.0	430
36.7	415
47.1	300
54.0	269
38.2	240
71.4	173
79.0	166
66.2	154
81.3	137
28.4	114


Computed powder diffraction line list of Ac2BeCdPt6 for λ = 1.5418 Å (Cu Kα), from a GGA-PBE-relaxed structure.
Peak positions follow from Bragg's law for the DFT cell and can differ from measured ones.

Structural model:
```
Ac2BeCdPt6
1.0
5.167 -2.988 0.000
5.167 2.988 0.000
-3.432 0.000 6.844
Ac Be Cd Pt
2 1 1 6
Direct
0.232 0.232 0.197
0.768 0.768 0.803
0.000 0.000 0.500
0.500 0.500 0.000
0.235 0.235 0.678
0.235 0.705 0.677
0.295 0.765 0.323
0.705 0.235 0.677
0.765 0.295 0.323
0.765 0.765 0.322
```

Largest 12 diffraction maxima, most intense first, 15° ≤ 2θ ≤ 90°:
2θ (°)	Rel. int.
35.8	1000
39.0	860
26.0	333
62.2	294
35.2	275
32.7	230
27.7	210
50.3	159
41.3	152
52.1	145
56.5	132
73.9	118